Record 1
The following is a simulated XRD peak list of Ba4PtN4. It was derived from a DFT-relaxed cell (PBE, the Materials Project), using a wavelength of 1.5418 Å.

The 8 most intense peaks (2θ from 10° to 90°), low angle first:
2θ 27.8, intensity 42, (1 0 2); 2θ 27.9, intensity 97, (0 2 0); 2θ 28.2, intensity 55, (2 0 -1); 2θ 28.5, intensity 100, (1 -1 2); 2θ 30.9, intensity 77, (-1 1 3); 2θ 31.5, intensity 84, (1 1 -3); 2θ 34.3, intensity 40, (2 1 -1); 2θ 49.6, intensity 48, (3 0 1)

Lattice parameters (Å, degrees): 6.5060 6.6012 9.8287 91.49 107.99 103.11
Sites, in units of the cell vectors:
Ba 0.0022 0.2605 0.3807
Ba 0.1847 0.7965 0.9945
Ba 0.2549 0.2837 0.8512
Ba 0.4005 0.7444 0.3775
Ba 0.5995 0.2556 0.6225
Ba 0.7451 0.7163 0.1488
Ba 0.8153 0.2035 0.0055
Ba 0.9978 0.7395 0.6193
Pt 0.4313 0.2474 0.2445
Pt 0.5687 0.7526 0.7555
N 0.1281 0.0013 0.2080
N 0.2341 0.4515 0.1645
N 0.3021 0.5187 0.6373
N 0.4066 0.9756 0.7739
N 0.5934 0.0244 0.2261
N 0.6979 0.4813 0.3627
N 0.7659 0.5485 0.8356
N 0.8719 0.9987 0.7920

=====

Record 2
The following is a simulated XRD peak list of NaH. It was derived from a DFT-relaxed cell (PBE, the Materials Project), using a wavelength of 1.5418 Å.

The 6 most intense peaks (2θ from 10° to 90°), low angle first:
2θ 30.2, intensity 100, (1 0 0); 2θ 43.3, intensity 90, (1 1 0); 2θ 53.7, intensity 25, (1 1 1); 2θ 62.9, intensity 13, (2 0 0); 2θ 71.4, intensity 29, (2 1 0); 2θ 79.4, intensity 22, (2 1 1)

Lattice parameters (Å, degrees): 2.9551 2.9551 2.9551 90.00 90.00 90.00
Sites, in units of the cell vectors:
Na 0.0000 0.0000 0.0000
H 0.5000 0.5000 0.5000

=====

Record 3
The following is a simulated XRD peak list of BaYMg14O16. It was derived from a DFT-relaxed cell (PBE, the Materials Project), using a wavelength of 1.5418 Å.

The 8 most intense peaks (2θ from 10° to 90°), low angle first:
2θ 14.1, intensity 39, (1 1 0); 2θ 24.0, intensity 34, (1 1 1); 2θ 34.6, intensity 46, (2 2 1); 2θ 39.4, intensity 57, (0 0 2); 2θ 40.6, intensity 100, (4 0 0); 2θ 57.8, intensity 63, (4 0 2); 2θ 58.7, intensity 29, (4 4 0); 2θ 73.0, intensity 28, (4 4 2)

Lattice parameters (Å, degrees): 8.8978 8.8978 4.5766 90.00 90.00 90.00
Sites, in units of the cell vectors:
Ba 0.0000 0.0000 0.0000
Y 0.5000 0.5000 0.0000
Mg 0.0000 0.2619 0.5000
Mg 0.0000 0.5000 0.0000
Mg 0.0000 0.7381 0.5000
Mg 0.2390 0.5000 0.5000
Mg 0.2505 0.2505 0.0000
Mg 0.2505 0.7495 0.0000
Mg 0.2619 0.0000 0.5000
Mg 0.5000 0.0000 0.0000
Mg 0.5000 0.2390 0.5000
Mg 0.5000 0.7610 0.5000
Mg 0.7381 0.0000 0.5000
Mg 0.7495 0.2505 0.0000
Mg 0.7495 0.7495 0.0000
Mg 0.7610 0.5000 0.5000
O 0.0000 0.0000 0.5000
O 0.0000 0.2799 0.0000
O 0.0000 0.5000 0.5000
O 0.0000 0.7201 0.0000
O 0.2470 0.5000 0.0000
O 0.2493 0.2493 0.5000
O 0.2493 0.7507 0.5000
O 0.2799 0.0000 0.0000
O 0.5000 0.0000 0.5000
O 0.5000 0.2470 0.0000
O 0.5000 0.5000 0.5000
O 0.5000 0.7530 0.0000
O 0.7201 0.0000 0.0000
O 0.7507 0.2493 0.5000
O 0.7507 0.7507 0.5000
O 0.7530 0.5000 0.0000

=====

Repeat the third record exactly.
The following is a simulated XRD peak list of BaYMg14O16. It was derived from a DFT-relaxed cell (PBE, the Materials Project), using a wavelength of 1.5418 Å.

The 8 most intense peaks (2θ from 10° to 90°), low angle first:
2θ 14.1, intensity 39, (1 1 0); 2θ 24.0, intensity 34, (1 1 1); 2θ 34.6, intensity 46, (2 2 1); 2θ 39.4, intensity 57, (0 0 2); 2θ 40.6, intensity 100, (4 0 0); 2θ 57.8, intensity 63, (4 0 2); 2θ 58.7, intensity 29, (4 4 0); 2θ 73.0, intensity 28, (4 4 2)

Lattice parameters (Å, degrees): 8.8978 8.8978 4.5766 90.00 90.00 90.00
Sites, in units of the cell vectors:
Ba 0.0000 0.0000 0.0000
Y 0.5000 0.5000 0.0000
Mg 0.0000 0.2619 0.5000
Mg 0.0000 0.5000 0.0000
Mg 0.0000 0.7381 0.5000
Mg 0.2390 0.5000 0.5000
Mg 0.2505 0.2505 0.0000
Mg 0.2505 0.7495 0.0000
Mg 0.2619 0.0000 0.5000
Mg 0.5000 0.0000 0.0000
Mg 0.5000 0.2390 0.5000
Mg 0.5000 0.7610 0.5000
Mg 0.7381 0.0000 0.5000
Mg 0.7495 0.2505 0.0000
Mg 0.7495 0.7495 0.0000
Mg 0.7610 0.5000 0.5000
O 0.0000 0.0000 0.5000
O 0.0000 0.2799 0.0000
O 0.0000 0.5000 0.5000
O 0.0000 0.7201 0.0000
O 0.2470 0.5000 0.0000
O 0.2493 0.2493 0.5000
O 0.2493 0.7507 0.5000
O 0.2799 0.0000 0.0000
O 0.5000 0.0000 0.5000
O 0.5000 0.2470 0.0000
O 0.5000 0.5000 0.5000
O 0.5000 0.7530 0.0000
O 0.7201 0.0000 0.0000
O 0.7507 0.2493 0.5000
O 0.7507 0.7507 0.5000
O 0.7530 0.5000 0.0000